No. 1
Simulated PXRD pattern of ZnNi4O10 for CuKα, from a crystal structure in the Materials Project, relaxed with PBE+U.

Main lines, sorted by position (2θ = 5–70°):
(hkl)	two_theta	I_rel
2 0 1	20.36	100
2 0 -4	35.94	10
1 1 -2	36.41	21
0 0 5	41.76	22
3 1 -1	42.04	51
2 0 6	56.13	9
5 1 0	56.23	17
3 1 4	56.39	10
3 1 -6	64.92	11
0 2 0	65.83	6
1 1 -7	68.92	5
2 2 1	69.70	6

Crystal structure
```
data_ZnNi4O10
_chemical_formula_sum 'Zn2 Ni8 O20'
_symmetry_space_group_name_H-M 'C 1 2/m 1'
_symmetry_Int_Tables_number 12
_cell_length_a 10.0751
_cell_length_b 2.8373
_cell_length_c 10.8828
_cell_angle_alpha 90.00
_cell_angle_beta 96.41
_cell_angle_gamma 90.00
loop_
_symmetry_equiv_pos_as_xyz
'x,y,z'
'-x,-y,-z'
'-x,y,-z'
'x,-y,z'
'x+1/2,y+1/2,z'
'-x+1/2,-y+1/2,-z'
'-x+1/2,y+1/2,-z'
'x+1/2,-y+1/2,z'
loop_
_atom_site_label
_atom_site_type_symbol
_atom_site_fract_x
_atom_site_fract_y
_atom_site_fract_z
Zn1 Zn 0.0000 0.0000 0.0000
Ni1 Ni 0.1047 0.5000 0.7926
Ni2 Ni 0.2012 0.0000 0.5977
O1 O 0.0135 0.0000 0.1890
O2 O 0.0827 0.5000 0.6185
O3 O 0.1288 0.5000 0.9646
O4 O 0.1804 0.0000 0.4236
O5 O 0.2239 0.0000 0.7714
```

=====

No. 2
Simulated PXRD pattern of NaLaV4O12 for CuKα, from a crystal structure in the Materials Project, relaxed with PBE+U.

Main lines, sorted by position (2θ = 5–70°):
(hkl)	two_theta	I_rel
1 0 0	11.95	32
0 1 1	16.05	42
1 1 1	20.05	100
2 0 2	32.11	53
0 2 2	32.42	56
2 2 0	34.53	44
1 1 3	36.23	21
1 3 1	40.50	19
0 0 4	42.73	29
4 0 0	49.20	23
0 4 0	50.06	22
2 2 4	56.06	23

Crystal structure
```
data_NaLaV4O12
_chemical_formula_sum 'Na2 La2 V8 O24'
_symmetry_space_group_name_H-M 'A m m 2'
_symmetry_Int_Tables_number 38
_cell_length_a 7.4081
_cell_length_b 7.2885
_cell_length_c 8.4640
_cell_angle_alpha 90.00
_cell_angle_beta 90.00
_cell_angle_gamma 90.00
loop_
_symmetry_equiv_pos_as_xyz
'x,y,z'
'-x,-y,z'
'-x,y,z'
'x,-y,z'
'x,y+1/2,z+1/2'
'-x,-y+1/2,z+1/2'
'-x,y+1/2,z+1/2'
'x,-y+1/2,z+1/2'
loop_
_atom_site_label
_atom_site_type_symbol
_atom_site_fract_x
_atom_site_fract_y
_atom_site_fract_z
Na1 Na 0.0000 0.0000 0.0000
La1 La 0.5000 0.0000 0.4832
V1 V 0.2438 0.2461 0.7363
O1 O 0.0000 0.2194 0.2667
O2 O 0.2217 0.0000 0.7870
O3 O 0.2512 0.2348 0.5377
O4 O 0.2788 0.0000 0.2765
O5 O 0.5000 0.2243 0.7765
```

=====

No. 3
Simulated PXRD pattern of La2MgMnZnO6 for CuKα, from a crystal structure in the Materials Project, relaxed with PBE+U.

Main lines, sorted by position (2θ = 5–70°):
(hkl)	two_theta	I_rel
1 0 0	20.45	54
-1 1 1	21.41	51
0 1 1	27.61	46
1 -1 1	27.80	50
1 0 -2	28.12	36
1 1 -1	30.17	71
1 -2 0	31.22	62
-2 1 1	31.81	100
0 0 2	32.10	35
-1 1 2	32.91	30
2 0 -3	45.78	45
-3 3 1	56.99	30

Crystal structure
```
data_La2MgMnZnO6
_chemical_formula_sum 'La2 Mg1 Mn1 Zn1 O6'
_symmetry_space_group_name_H-M 'P 1'
_symmetry_Int_Tables_number 1
_cell_length_a 5.6318
_cell_length_b 5.7405
_cell_length_c 6.4397
_cell_angle_alpha 92.54
_cell_angle_beta 115.02
_cell_angle_gamma 117.19
loop_
_symmetry_equiv_pos_as_xyz
'x,y,z'
loop_
_atom_site_label
_atom_site_type_symbol
_atom_site_fract_x
_atom_site_fract_y
_atom_site_fract_z
La1 La 0.0000 0.0000 0.0000
La2 La 0.0502 0.5936 0.4306
Mg1 Mg 0.2800 0.6118 0.9613
Mn1 Mn 0.4922 0.2727 0.7245
Zn1 Zn 0.7082 0.9392 0.4623
O1 O 0.0933 0.2869 0.6900
O2 O 0.2629 0.9005 0.8187
O3 O 0.3845 0.0348 0.3857
O4 O 0.5821 0.6659 0.6408
O5 O 0.7077 0.7487 0.1997
O6 O 0.9524 0.4099 0.0433
```

=====

No. 4
Simulated PXRD pattern of TiFeO4 for CuKα, from a crystal structure in the Materials Project, relaxed with PBE+U.

Main lines, sorted by position (2θ = 5–70°):
(hkl)	two_theta	I_rel
0 2 -1	25.09	100
1 -2 0	25.16	33
1 0 -3	36.56	10
2 0 -2	37.31	25
1 2 0	38.24	14
1 0 3	47.57	19
1 -4 1	47.80	18
2 2 -3	53.23	24
1 -2 4	54.57	10
2 -4 2	54.72	13
1 0 -5	61.96	9
1 4 -3	62.15	9

Crystal structure
```
data_TiFeO4
_chemical_formula_sum 'Ti4 Fe4 O16'
_symmetry_space_group_name_H-M 'P 1'
_symmetry_Int_Tables_number 1
_cell_length_a 5.5222
_cell_length_b 7.6117
_cell_length_c 7.7295
_cell_angle_alpha 104.26
_cell_angle_beta 101.71
_cell_angle_gamma 110.12
loop_
_symmetry_equiv_pos_as_xyz
'x,y,z'
loop_
_atom_site_label
_atom_site_type_symbol
_atom_site_fract_x
_atom_site_fract_y
_atom_site_fract_z
Ti1 Ti 0.0000 0.0000 0.0000
Ti2 Ti 0.0016 0.4923 0.0020
Ti3 Ti 0.5072 0.7514 0.5018
Ti4 Ti 0.5179 0.2457 0.4988
Fe1 Fe 0.3678 0.8076 0.8806
Fe2 Fe 0.3913 0.3119 0.8716
Fe3 Fe 0.8735 0.5594 0.3775
Fe4 Fe 0.8991 0.0623 0.3704
O1 O 0.0688 0.7580 0.9806
O2 O 0.0756 0.2588 0.9772
O3 O 0.1827 0.6128 0.2818
O4 O 0.1914 0.6938 0.6046
O5 O 0.2023 0.1133 0.2708
O6 O 0.2038 0.1971 0.5998
O7 O 0.3090 0.0378 0.8936
O8 O 0.3157 0.5582 0.9003
O9 O 0.5753 0.5096 0.4772
O10 O 0.5857 0.0093 0.4752
O11 O 0.6711 0.8577 0.7730
O12 O 0.6975 0.3604 0.7683
O13 O 0.6978 0.4459 0.1018
O14 O 0.7031 0.9484 0.1066
O15 O 0.8187 0.7915 0.3994
O16 O 0.8228 0.3094 0.3960
```

=====

No. 5
Simulated PXRD pattern of Be2CoN2O6F8 for CuKα, from a crystal structure in the Materials Project, relaxed with PBE+U.

Main lines, sorted by position (2θ = 5–70°):
(hkl)	two_theta	I_rel
0 1 1	11.58	67
0 2 0	13.80	22
1 1 -1	18.00	51
1 1 0	18.26	16
0 0 2	18.65	24
1 2 0	21.87	13
0 3 1	22.79	100
1 2 -2	25.24	25
1 2 1	25.80	12
0 1 3	28.99	28
1 2 -3	31.42	18
1 2 2	32.18	27

Crystal structure
```
data_Be2CoN2O6F8
_chemical_formula_sum 'Be4 Co2 N4 O12 F16'
_symmetry_space_group_name_H-M 'P 1 21/c 1'
_symmetry_Int_Tables_number 14
_cell_length_a 5.5132
_cell_length_b 12.8353
_cell_length_c 9.9923
_cell_angle_alpha 90.00
_cell_angle_beta 107.78
_cell_angle_gamma 90.00
loop_
_symmetry_equiv_pos_as_xyz
'x,y,z'
'-x,-y,-z'
'-x,y+1/2,-z+1/2'
'x,-y+1/2,z+1/2'
loop_
_atom_site_label
_atom_site_type_symbol
_atom_site_fract_x
_atom_site_fract_y
_atom_site_fract_z
Be1 Be 0.2479 0.1300 0.3305
Co1 Co 0.5000 0.0000 0.0000
N1 N 0.0150 0.1804 0.5539
O1 O 0.2186 0.0626 0.0099
O2 O 0.3726 0.6071 0.3872
O3 O 0.3971 0.5856 0.6115
F1 F 0.0855 0.0430 0.2905
F2 F 0.1027 0.2176 0.4400
F3 F 0.1908 0.1078 0.6161
F4 F 0.4765 0.1814 0.3354
```

=====

No. 6
Simulated PXRD pattern of SrGdFeCoO6 for CuKα, from a crystal structure in the Materials Project, relaxed with PBE+U.

Main lines, sorted by position (2θ = 5–70°):
(hkl)	two_theta	I_rel
1 1 1	20.06	9
2 0 0	23.21	8
2 2 0	33.05	100
3 1 1	38.97	5
2 2 2	40.78	16
4 0 0	47.44	34
3 3 1	52.00	2
4 2 0	53.46	4
4 2 2	59.04	38
5 1 1	63.02	2
4 4 0	69.35	19

Crystal structure
```
data_SrGdFeCoO6
_chemical_formula_sum 'Sr4 Gd4 Fe4 Co4 O24'
_symmetry_space_group_name_H-M 'F -4 3 m'
_symmetry_Int_Tables_number 216
_symmetry_space_group_name_Hall 'F -4 2 3'
_cell_length_a 7.6650
_cell_length_b 7.6650
_cell_length_c 7.6650
_cell_angle_alpha 90.00
_cell_angle_beta 90.00
_cell_angle_gamma 90.00
loop_
_atom_site_label
_atom_site_type_symbol
_atom_site_fract_x
_atom_site_fract_y
_atom_site_fract_z
Sr1 Sr 0.0000 0.0000 0.0000
Gd1 Gd 0.0000 0.0000 0.5000
Fe1 Fe 0.2500 0.2500 0.2500
Co1 Co 0.2500 0.2500 0.7500
O1 O 0.0058 0.2500 0.7500
```

=====

Repeat the fifth record exactly.
Simulated PXRD pattern of Be2CoN2O6F8 for CuKα, from a crystal structure in the Materials Project, relaxed with PBE+U.

Main lines, sorted by position (2θ = 5–70°):
(hkl)	two_theta	I_rel
0 1 1	11.58	67
0 2 0	13.80	22
1 1 -1	18.00	51
1 1 0	18.26	16
0 0 2	18.65	24
1 2 0	21.87	13
0 3 1	22.79	100
1 2 -2	25.24	25
1 2 1	25.80	12
0 1 3	28.99	28
1 2 -3	31.42	18
1 2 2	32.18	27

Crystal structure
```
data_Be2CoN2O6F8
_chemical_formula_sum 'Be4 Co2 N4 O12 F16'
_symmetry_space_group_name_H-M 'P 1 21/c 1'
_symmetry_Int_Tables_number 14
_cell_length_a 5.5132
_cell_length_b 12.8353
_cell_length_c 9.9923
_cell_angle_alpha 90.00
_cell_angle_beta 107.78
_cell_angle_gamma 90.00
loop_
_symmetry_equiv_pos_as_xyz
'x,y,z'
'-x,-y,-z'
'-x,y+1/2,-z+1/2'
'x,-y+1/2,z+1/2'
loop_
_atom_site_label
_atom_site_type_symbol
_atom_site_fract_x
_atom_site_fract_y
_atom_site_fract_z
Be1 Be 0.2479 0.1300 0.3305
Co1 Co 0.5000 0.0000 0.0000
N1 N 0.0150 0.1804 0.5539
O1 O 0.2186 0.0626 0.0099
O2 O 0.3726 0.6071 0.3872
O3 O 0.3971 0.5856 0.6115
F1 F 0.0855 0.0430 0.2905
F2 F 0.1027 0.2176 0.4400
F3 F 0.1908 0.1078 0.6161
F4 F 0.4765 0.1814 0.3354
```

=====

What is the formula in the sixth record?
SrGdFeCoO6